Record 1
Simulated PXRD pattern
Compound: HfAg2Pd9
Radiation: Cu Kα, 1.54184 Å
Structure: the PBE geometry in Alexandria
Intensities are scaled so that the largest is 100.

Structure:
```
12
Lattice="4.011 0.000 0.000 0.000 4.011 0.000 0.000 0.000 11.982" Properties=species:S:1:pos:R:3 pbc="T T T"
Hf 0.000 0.000 0.000
Ag 0.000 0.000 4.008
Ag 0.000 0.000 7.973
Pd 0.000 2.006 1.956
Pd 0.000 2.006 5.991
Pd 0.000 2.006 10.025
Pd 2.006 0.000 1.956
Pd 2.006 0.000 5.991
Pd 2.006 0.000 10.025
Pd 2.006 2.006 0.000
Pd 2.006 2.006 3.974
Pd 2.006 2.006 8.008
```

Principal peaks in the range 15° ≤ 2θ ≤ 90°, in order of rising 2θ:
d = 4.005 Å, 2θ = 22.19°, I = 1
d = 2.832 Å, 2θ = 31.59°, I = 1
d = 2.313 Å, 2θ = 38.95°, I = 100
d = 2.006 Å, 2θ = 45.21°, I = 33
d = 1.997 Å, 2θ = 45.42°, I = 16
d = 1.418 Å, 2θ = 65.86°, I = 10
d = 1.415 Å, 2θ = 66.02°, I = 20
d = 1.209 Å, 2θ = 79.24°, I = 24
d = 1.205 Å, 2θ = 79.54°, I = 12
d = 1.156 Å, 2θ = 83.63°, I = 11

---

Record 2
Simulated PXRD pattern
Compound: Hf4AgPt
Radiation: Cu Kα, 1.54184 Å
Structure: the PBE geometry in Alexandria
Intensities are scaled so that the largest is 100.

Structure:
```
6
Lattice="7.473 -1.595 0.000 7.473 1.595 0.000 -2.036 0.000 5.143" Properties=species:S:1:pos:R:3 pbc="T T T"
Hf 1.750 0.000 1.673
Hf 4.682 0.000 0.855
Hf 8.227 0.000 4.288
Hf 11.160 0.000 3.470
Ag -1.018 0.000 2.571
Pt 7.473 0.000 0.000
```

Principal peaks in the range 15° ≤ 2θ ≤ 90°, in order of rising 2θ:
d = 2.568 Å, 2θ = 34.94°, I = 100
d = 2.316 Å, 2θ = 38.88°, I = 24
d = 2.163 Å, 2θ = 41.76°, I = 61
d = 1.596 Å, 2θ = 57.78°, I = 24
d = 1.471 Å, 2θ = 63.20°, I = 12
d = 1.355 Å, 2θ = 69.37°, I = 9
d = 1.315 Å, 2θ = 71.75°, I = 8
d = 1.313 Å, 2θ = 71.89°, I = 16
d = 1.284 Å, 2θ = 73.79°, I = 11
d = 1.241 Å, 2θ = 76.81°, I = 7

---

Record 3
Simulated PXRD pattern
Compound: Rb2Hf3AgS8
Radiation: Cu Kα, 1.54184 Å
Structure: the PBE geometry in Alexandria
Intensities are scaled so that the largest is 100.

Structure:
```
14
Lattice="3.731 2.154 8.296 -3.731 2.154 8.296 0.000 -4.308 8.296" Properties=species:S:1:pos:R:3 pbc="T T T"
Rb 0.000 0.000 0.000
Rb 0.000 0.000 8.703
Hf 0.000 -2.126 12.858
Hf -1.841 1.063 12.858
Hf 1.841 1.063 12.858
Ag 0.000 0.000 21.075
S 0.000 -2.050 5.992
S -1.775 1.025 5.992
S 0.000 0.000 3.165
S -1.768 -1.021 11.403
S 1.775 1.025 5.992
S 0.000 0.000 14.324
S 1.768 -1.021 11.403
S 0.000 2.042 11.403
```

Principal peaks in the range 15° ≤ 2θ ≤ 90°, in order of rising 2θ:
d = 4.148 Å, 2θ = 21.42°, I = 45
d = 3.403 Å, 2θ = 26.19°, I = 22
d = 3.204 Å, 2θ = 27.84°, I = 56
d = 3.128 Å, 2θ = 28.54°, I = 33
d = 2.868 Å, 2θ = 31.19°, I = 100
d = 2.391 Å, 2θ = 37.61°, I = 60
d = 2.241 Å, 2θ = 40.24°, I = 45
d = 1.866 Å, 2θ = 48.82°, I = 42
d = 1.820 Å, 2θ = 50.12°, I = 24
d = 1.701 Å, 2θ = 53.89°, I = 27

---

Record 4
Simulated PXRD pattern
Compound: Hf2Ag4S5
Radiation: Cu Kα, 1.54184 Å
Structure: the PBE geometry in Alexandria
Intensities are scaled so that the largest is 100.

Structure:
```
11
Lattice="1.909 1.102 17.965 -1.909 1.102 17.965 0.000 -2.205 17.965" Properties=species:S:1:pos:R:3 pbc="T T T"
Hf 0.000 0.000 7.675
Hf 0.000 0.000 46.220
Ag 0.000 0.000 16.965
Ag 0.000 0.000 22.406
Ag 0.000 0.000 31.488
Ag 0.000 0.000 36.929
S 0.000 0.000 11.789
S 0.000 0.000 19.994
S 0.000 0.000 26.947
S 0.000 0.000 33.900
S 0.000 0.000 42.105
```

Principal peaks in the range 15° ≤ 2θ ≤ 90°, in order of rising 2θ:
d = 3.212 Å, 2θ = 27.78°, I = 48
d = 3.039 Å, 2θ = 29.39°, I = 45
d = 2.994 Å, 2θ = 29.84°, I = 25
d = 2.741 Å, 2θ = 32.67°, I = 100
d = 2.509 Å, 2θ = 35.80°, I = 18
d = 1.969 Å, 2θ = 46.11°, I = 28
d = 1.910 Å, 2θ = 47.62°, I = 57
d = 1.610 Å, 2θ = 57.22°, I = 24
d = 1.567 Å, 2θ = 58.95°, I = 18
d = 1.211 Å, 2θ = 79.06°, I = 15

---

Record 5
Simulated PXRD pattern
Compound: HfAg2S3
Radiation: Cu Kα, 1.54184 Å
Structure: the PBE geometry in Alexandria
Intensities are scaled so that the largest is 100.

Structure:
```
24
Lattice="5.782 -3.347 0.000 5.782 3.347 0.000 0.000 0.000 12.756" Properties=species:S:1:pos:R:3 pbc="T T T"
Hf 1.880 0.000 0.000
Hf 3.902 0.000 6.378
Hf 7.663 0.000 6.378
Hf 9.685 0.000 0.000
Ag 5.782 3.181 8.701
Ag 2.891 0.682 3.189
Ag 2.891 -0.682 9.567
Ag 5.782 0.166 2.323
Ag 5.782 -0.166 10.433
Ag 8.674 0.682 3.189
Ag 8.674 -0.682 9.567
Ag 5.782 -3.181 4.055
S 2.010 1.151 7.690
S 5.782 2.598 1.571
S 3.773 1.151 11.444
S 2.010 -1.151 5.066
S 5.782 0.749 7.949
S 3.773 -1.151 1.312
S 7.792 1.151 11.444
S 5.782 -0.749 4.807
S 9.555 1.151 7.690
S 7.792 -1.151 1.312
S 5.782 -2.598 11.185
S 9.555 -1.151 5.066
```

Principal peaks in the range 15° ≤ 2θ ≤ 90°, in order of rising 2θ:
d = 3.428 Å, 2θ = 25.99°, I = 93
d = 3.347 Å, 2θ = 26.63°, I = 50
d = 3.232 Å, 2θ = 27.60°, I = 80
d = 2.793 Å, 2θ = 32.05°, I = 36
d = 2.633 Å, 2θ = 34.05°, I = 100
d = 2.070 Å, 2θ = 43.73°, I = 30
d = 2.028 Å, 2θ = 44.69°, I = 67
d = 1.946 Å, 2θ = 46.68°, I = 42
d = 1.909 Å, 2θ = 47.63°, I = 40
d = 1.314 Å, 2θ = 71.84°, I = 25

---

Record 6
Simulated PXRD pattern
Compound: HfAg2S3
Radiation: Cu Kα, 1.54184 Å
Structure: the PBE geometry in Alexandria
Intensities are scaled so that the largest is 100.

Structure:
```
12
Lattice="5.969 -3.530 0.000 5.969 3.530 0.000 0.000 0.000 6.975" Properties=species:S:1:pos:R:3 pbc="T T T"
Hf 5.969 2.409 3.488
Hf 5.969 -2.409 0.000
Ag 3.999 1.182 0.266
Ag 7.940 1.182 0.266
Ag 3.999 -1.182 3.753
Ag 7.940 -1.182 3.753
S 5.969 2.413 5.955
S 4.065 1.205 2.782
S 7.874 1.205 2.782
S 4.065 -1.205 6.269
S 7.874 -1.205 6.269
S 5.969 -2.413 2.468
```

Principal peaks in the range 15° ≤ 2θ ≤ 90°, in order of rising 2θ:
d = 3.530 Å, 2θ = 25.23°, I = 23
d = 3.488 Å, 2θ = 25.54°, I = 59
d = 3.467 Å, 2θ = 25.70°, I = 52
d = 3.150 Å, 2θ = 28.33°, I = 56
d = 3.104 Å, 2θ = 28.76°, I = 100
d = 2.459 Å, 2θ = 36.55°, I = 24
d = 2.026 Å, 2θ = 44.74°, I = 42
d = 1.942 Å, 2θ = 46.78°, I = 24
d = 1.931 Å, 2θ = 47.06°, I = 45
d = 1.752 Å, 2θ = 52.22°, I = 32